[1]
Theoretical powder XRD pattern
Compound: AsI4N2
Radiation: Cu Kα
Structure: a GGA-PBE-relaxed structure
Neutral-atom scattering factors, no anomalous dispersion.

Atomic structure:
abc: 4.1381 6.9620 8.5910
angles: 103.86 92.27 105.46
Space group P-1 (No. 2)
Symmetry-distinct sites (fractional):
As 0.0000 0.0000 0.0000
I 0.1551 0.2884 0.8147
I 0.2340 0.3104 0.3078
N 0.2863 0.5230 0.6686

Peak list (12 most intense, 10 to 80 degrees two-theta, low angle first)
2θ 21.4, I = 46, (0 0 2)
2θ 22.4, I = 26, (1 0 0)
2θ 22.7, I = 100, (1 -1 0)
2θ 27.5, I = 25, (0 2 0)
2θ 28.4, I = 74, (0 1 2)
2θ 29.4, I = 26, (1 0 -2)
2θ 29.6, I = 35, (1 1 0)
2θ 30.3, I = 92, (0 2 -2)
2θ 30.7, I = 32, (1 -1 2)
2θ 32.9, I = 36, (1 1 -2)
2θ 40.1, I = 35, (-1 2 2)
2θ 42.2, I = 27, (0 1 -4)

[2]
Theoretical powder XRD pattern
Compound: YAsI2N
Radiation: Cu Kα
Structure: a GGA-PBE-relaxed structure
Neutral-atom scattering factors, no anomalous dispersion.

Atomic structure:
abc: 6.0485 6.0485 3.7142
angles: 90.00 90.00 90.00
Space group P4/mmm (No. 123)
Symmetry-distinct sites (fractional):
Y 0.0000 0.0000 0.0000
As 0.5000 0.5000 0.5000
I 0.0000 0.5000 0.5000
N 0.5000 0.5000 0.0000

Peak list (12 most intense, 10 to 80 degrees two-theta, low angle first)
2θ 24.0, I = 22, (0 0 1)
2θ 28.2, I = 29, (1 0 1)
2θ 29.5, I = 100, (2 0 0)
2θ 31.9, I = 67, (1 1 1)
2θ 38.4, I = 26, (2 0 1)
2θ 41.3, I = 20, (2 1 1)
2θ 42.3, I = 37, (2 2 0)
2θ 49.2, I = 13, (2 2 1)
2θ 53.9, I = 29, (3 1 1)
2θ 58.3, I = 28, (2 0 2)
2θ 66.7, I = 24, (2 2 2)
2θ 69.5, I = 16, (4 2 0)